For Mg14ZrB, a crystal structure in the Materials Project, relaxed with PBE gives the theoretical powder diffraction line list in this record (Cu Kα X-rays).
Kinematic intensities with the Lorentz-polarization factor, no thermal factor.

Cell and atoms:
```
data_Mg14ZrB
_space_group_name_H-M_alt 'P -6 m 2'
_space_group_IT_number 187
_space_group_name_Hall 'P -6 2'
_cell_length_a 6.2968
_cell_length_b 6.2968
_cell_length_c 9.9935
_cell_angle_alpha 90.00
_cell_angle_beta 90.00
_cell_angle_gamma 120.00
loop_
_atom_site_label
_atom_site_fract_x
_atom_site_fract_y
_atom_site_fract_z
_atom_site_occupancy
Mg1 0.0000 0.0000 0.2407 1
Mg2 0.0194 0.5097 0.2611 1
Mg3 0.3283 0.1642 0.5000 1
Mg4 0.3437 0.1718 0.0000 1
Zr1 0.3333 0.6667 0.0000 1
B1 0.3333 0.6667 0.5000 1
```

Top 10 peaks for 2θ from 10° to 90°, by intensity:
h k l, 2theta, I (rel.)
2 0 2, 37.58, 100
2 0 0, 32.85, 25
0 0 4, 35.95, 25
1 0 1, 18.54, 25
2 0 6, 65.68, 18
2 2 4, 70.74, 18
2 2 0, 58.64, 17
2 0 4, 49.48, 15
4 0 2, 71.77, 13
1 0 0, 16.25, 10